# 1
Structure and simulated X-ray powder pattern of Sr2Ni3Pb2 (a cell relaxed with GGA-PBE; CuKα).
No peak broadening, texture or thermal motion is included.

Structure:
```
Sr2Ni3Pb2
1.0
2.3965 1.3836 8.1682
-2.3965 1.3836 8.1682
0.0000 -2.7673 8.1682
Sr Ni Pb
2 3 2
Direct
0.0000 0.0000 0.0000
0.4914 0.4914 0.4914
0.3664 0.3664 0.3664
0.6190 0.6190 0.6190
0.8842 0.8842 0.8842
0.2487 0.2487 0.2487
0.7385 0.7385 0.7385
```

Peak list (6 most intense, 2θ = 10–90°, in order of rising 2θ)
2θ/deg	intensity
22.6	30
25.9	64
36.5	99
37.5	100
53.3	34
67.0	34



# 2
Structure and simulated X-ray powder pattern of Sc2Cu3Mo4N3 (a cell relaxed with GGA-PBE; CuKα).
No peak broadening, texture or thermal motion is included.

Structure:
```
Sc2Cu3Mo4N3
1.0
4.6171 -2.6868 0.0000
4.6171 2.6868 0.0000
-3.0170 0.0000 12.8909
Sc Cu Mo N
4 6 8 6
Direct
0.0360 0.8737 0.6117
0.1263 0.9640 0.8883
0.8737 0.0360 0.1117
0.9640 0.1263 0.3883
0.0814 0.3930 0.7493
0.3930 0.0814 0.2493
0.4448 0.5552 0.2500
0.5552 0.4448 0.7500
0.6070 0.9186 0.7507
0.9186 0.6070 0.2507
0.1955 0.3664 0.0792
0.3152 0.4632 0.4211
0.3664 0.1955 0.5792
0.4632 0.3152 0.9211
0.5368 0.6848 0.0789
0.6336 0.8045 0.4208
0.6848 0.5368 0.5789
0.8045 0.6336 0.9208
0.0000 0.5000 0.5000
0.1504 0.6997 0.9998
0.3003 0.8496 0.5002
0.5000 0.0000 0.0000
0.6997 0.1504 0.4998
0.8496 0.3003 0.0002
```

Peak list (6 most intense, 2θ = 10–90°, in order of rising 2θ)
2θ/deg	intensity
19.2	56
39.6	94
39.7	100
39.8	97
42.1	68
42.3	37



# 3
Structure and simulated X-ray powder pattern of Y4Zr2As3C3 (a cell relaxed with GGA-PBE; CuKα).
No peak broadening, texture or thermal motion is included.

Structure:
```
Y4Zr2As3C3
1.0
5.4251 -3.1422 0.0000
5.4251 3.1422 0.0000
-3.6625 0.0000 13.3848
Y Zr As C
8 4 6 6
Direct
0.0376 0.2002 0.1047
0.1293 0.2984 0.3953
0.2002 0.0376 0.6047
0.2984 0.1293 0.8953
0.7016 0.8707 0.1047
0.7998 0.9624 0.3953
0.8707 0.7016 0.6047
0.9624 0.7998 0.8953
0.3620 0.5305 0.0907
0.4695 0.6380 0.4093
0.5305 0.3620 0.5907
0.6380 0.4695 0.9093
0.1073 0.8927 0.2500
0.2747 0.4175 0.7505
0.4175 0.2747 0.2505
0.5825 0.7253 0.7495
0.7253 0.5825 0.2495
0.8927 0.1073 0.7500
0.0000 0.5000 0.0000
0.1981 0.6509 0.4998
0.3491 0.8019 0.0002
0.5000 0.0000 0.5000
0.6509 0.1981 0.9998
0.8019 0.3491 0.5002
```

Peak list (6 most intense, 2θ = 10–90°, in order of rising 2θ)
2θ/deg	intensity
28.5	39
34.9	100
35.0	49
40.4	16
50.3	31
62.7	17